Structure and simulated powder XRD pattern of NiTe2 (a PBE-relaxed structure; Cu Kα, 1.54184 Å).
Kinematic intensities with the Lorentz-polarization factor, no thermal factor.

The 6 most intense peaks (10 to 90 degrees two-theta), sorted by position:
d [Å]	Position (°2θ)	Rel. int.	index
3.006	29.73	100	0 0 4
2.843	31.47	87	1 3 0
2.766	32.36	42	1 3 1
2.065	43.84	61	1 3 4
1.928	47.13	31	2 0 0
1.623	56.72	31	2 0 4

Structural model:
```
data_NiTe2
_space_group_name_H-M_alt 'C m c 21'
_space_group_IT_number 36
_space_group_name_Hall 'C 2c -2'
_cell_length_a 3.8567
_cell_length_b 12.6179
_cell_length_c 12.0221
_cell_angle_alpha 90.00
_cell_angle_beta 90.00
_cell_angle_gamma 90.00
loop_
_atom_site_label
_atom_site_type_symbol
_atom_site_fract_x
_atom_site_fract_y
_atom_site_fract_z
Ni1 Ni 0.0000 0.1450 0.0000
Ni2 Ni 0.0000 0.2054 0.2976
Te1 Te 0.0000 0.1641 0.7836
Te2 Te 0.0000 0.2258 0.5120
Te3 Te 0.0000 0.4246 0.7805
Te4 Te 0.0000 0.4827 0.5274
```

Structure and simulated powder XRD pattern of Ni10Te (a PBE-relaxed structure; Cu Kα, 1.54184 Å).
Kinematic intensities with the Lorentz-polarization factor, no thermal factor.

The 6 most intense peaks (10 to 90 degrees two-theta), sorted by position:
d [Å]	Position (°2θ)	Rel. int.	index
2.134	42.36	100	1 1 0
1.969	46.10	44	1 0 14
1.890	48.13	93	1 0 15
1.509	61.44	28	2 0 0
1.198	80.13	15	2 1 14
1.179	81.64	35	2 1 15

Structural model:
```
data_Ni10Te
_space_group_name_H-M_alt 'P 4 m m'
_space_group_IT_number 99
_space_group_name_Hall 'P 4 -2'
_cell_length_a 3.0180
_cell_length_b 3.0180
_cell_length_c 36.3773
_cell_angle_alpha 90.00
_cell_angle_beta 90.00
_cell_angle_gamma 90.00
loop_
_atom_site_label
_atom_site_type_symbol
_atom_site_fract_x
_atom_site_fract_y
_atom_site_fract_z
Ni1 Ni 0.0000 0.0000 0.0000
Ni2 Ni 0.0000 0.0000 0.0672
Ni3 Ni 0.0000 0.0000 0.1345
Ni4 Ni 0.0000 0.0000 0.2019
Ni5 Ni 0.0000 0.0000 0.2695
Ni6 Ni 0.0000 0.0000 0.3369
Ni7 Ni 0.0000 0.0000 0.4045
Ni8 Ni 0.0000 0.0000 0.4720
Ni9 Ni 0.0000 0.0000 0.5389
Ni10 Ni 0.0000 0.0000 0.9304
Ni11 Ni 0.5000 0.5000 0.0332
Ni12 Ni 0.5000 0.5000 0.1007
Ni13 Ni 0.5000 0.5000 0.1683
Ni14 Ni 0.5000 0.5000 0.2356
Ni15 Ni 0.5000 0.5000 0.3033
Ni16 Ni 0.5000 0.5000 0.3707
Ni17 Ni 0.5000 0.5000 0.4379
Ni18 Ni 0.5000 0.5000 0.5052
Ni19 Ni 0.5000 0.5000 0.5749
Ni20 Ni 0.5000 0.5000 0.9662
Te1 Te 0.0000 0.0000 0.6156
Te2 Te 0.5000 0.5000 0.8898
```